Entry 1:
# PmSbSO2
Computed PXRD pattern, Cu Kα (weighted mean of Kα1 and Kα2). Input: a structure optimized by DFT (GGA-PBE).
Lines closer than 0.1° are merged.

Largest 10 diffraction maxima, sorted by position, 2θ from 10° to 90°:
Position (°2θ), d/Å, I/Imax
14.25, 6.217, 36
26.33, 3.385, 100
31.26, 2.861, 44
32.44, 2.760, 47
32.89, 2.723, 47
33.27, 2.693, 30
36.48, 2.463, 28
44.92, 2.018, 24
49.88, 1.828, 24
55.72, 1.650, 33

Crystal structure
```
PmSbSO2
1.0
6.4420 0.0000 0.0000
0.0000 4.0361 0.0000
-2.0022 0.0000 7.3804
Pm Sb S O
2 2 2 4
Direct
0.2082 0.2500 0.4294
0.7918 0.7500 0.5706
0.1780 0.2500 0.9100
0.8220 0.7500 0.0900
0.4259 0.7500 0.6932
0.5741 0.2500 0.3068
0.0147 0.7500 0.3511
0.0197 0.7500 0.8995
0.9803 0.2500 0.1005
0.9853 0.2500 0.6489
```

Entry 2:
# Y2ZnIr3
Computed PXRD pattern, Cu Kα (weighted mean of Kα1 and Kα2). Input: a structure optimized by DFT (GGA-PBE).
Lines closer than 0.1° are merged.

Largest 10 diffraction maxima, sorted by position, 2θ from 10° to 90°:
Position (°2θ), d/Å, I/Imax
21.58, 4.119, 48
34.56, 2.595, 30
38.33, 2.348, 100
39.27, 2.294, 74
40.44, 2.231, 90
41.11, 2.196, 31
43.97, 2.059, 25
48.11, 1.891, 29
67.87, 1.381, 32
72.90, 1.298, 27

Crystal structure
```
Y2ZnIr3
1.0
2.7621 1.5947 4.1187
-2.7621 1.5947 4.1187
0.0000 -3.1894 4.1187
Y Zn Ir
2 1 3
Direct
0.1266 0.1266 0.1266
0.8734 0.8734 0.8734
0.5000 0.5000 0.5000
0.0000 0.5000 0.5000
0.5000 0.0000 0.5000
0.5000 0.5000 0.0000
```

Entry 3:
# Er2TaAl2Ru5
Computed PXRD pattern, Cu Kα (weighted mean of Kα1 and Kα2). Input: a structure optimized by DFT (GGA-PBE).
Lines closer than 0.1° are merged.

Largest 10 diffraction maxima, sorted by position, 2θ from 10° to 90°:
Position (°2θ), d/Å, I/Imax
33.71, 2.658, 38
36.72, 2.447, 49
37.17, 2.419, 26
37.83, 2.378, 11
39.33, 2.291, 100
39.96, 2.256, 23
42.40, 2.132, 16
55.89, 1.645, 14
68.76, 1.365, 16
72.15, 1.309, 11

Crystal structure
```
Er2TaAl2Ru5
1.0
10.0909 0.0000 0.0000
0.0000 10.0909 0.0000
0.0000 0.0000 3.2900
Er Ta Al Ru
4 2 4 10
Direct
0.1716 0.3284 0.0000
0.3284 0.8284 0.0000
0.6716 0.1716 0.0000
0.8284 0.6716 0.0000
0.0000 0.0000 0.0000
0.5000 0.5000 0.0000
0.1267 0.6267 0.0000
0.3733 0.1267 0.0000
0.6267 0.8733 0.0000
0.8733 0.3733 0.0000
0.0000 0.5000 0.5000
0.0672 0.8009 0.5000
0.1991 0.0672 0.5000
0.3009 0.5672 0.5000
0.4328 0.3009 0.5000
0.5000 0.0000 0.5000
0.5672 0.6991 0.5000
0.6991 0.4328 0.5000
0.8009 0.9328 0.5000
0.9328 0.1991 0.5000
```